No. 1
# Dy3ZrH8
Calculated powder diffractogram, a wavelength of 1.5418 Å. Input: a structure optimized by DFT (PBE).
Neutral-atom scattering factors, no anomalous dispersion.

Most intense lines, 2θ from 10° to 90°, in order of falling intensity:
two_theta  intensity
30.50  100
35.37  49
60.49  43
50.88  37
82.91  18
85.57  16
63.49  12
74.82  6

Crystal structure
Lattice parameters (Å, degrees): 5.0759 5.0759 5.0759 90.00 90.00 90.00
Fractional coordinates of all 12 atoms:
Dy1 0.0000 0.0000 0.5000
Dy2 0.0000 0.5000 0.0000
Dy3 0.5000 0.0000 0.0000
Zr1 0.5000 0.5000 0.5000
H1 0.2612 0.2612 0.2612
H2 0.2612 0.2612 0.7388
H3 0.2612 0.7388 0.2612
H4 0.2612 0.7388 0.7388
H5 0.7388 0.2612 0.2612
H6 0.7388 0.2612 0.7388
H7 0.7388 0.7388 0.2612
H8 0.7388 0.7388 0.7388

---

No. 2
# NaTl3Hg3
Calculated powder diffractogram, a wavelength of 1.5418 Å. Input: a structure optimized by DFT (PBE).
Neutral-atom scattering factors, no anomalous dispersion.

Most intense lines, 2θ from 10° to 90°, in order of falling intensity:
two_theta  intensity
34.58  100
32.08  32
34.10  23
58.81  22
47.51  18
61.35  14
16.86  12
62.29  11

Crystal structure
Lattice parameters (Å, degrees): 7.6681 7.6681 7.0538 90.00 90.00 93.40
Fractional coordinates of all 14 atoms:
Na1 0.2411 0.7589 0.0000
Na2 0.7589 0.2411 0.0000
Tl1 0.2107 0.2107 0.5000
Tl2 0.2391 0.2391 0.0000
Tl3 0.2542 0.7458 0.5000
Tl4 0.7458 0.2542 0.5000
Tl5 0.7609 0.7609 0.0000
Tl6 0.7893 0.7893 0.5000
Hg1 0.0000 0.5000 0.2429
Hg2 0.0000 0.5000 0.7571
Hg3 0.5000 0.0000 0.2429
Hg4 0.5000 0.0000 0.7571
Hg5 0.5000 0.5000 0.2565
Hg6 0.5000 0.5000 0.7435

---

No. 3
# Pu2PbO7
Calculated powder diffractogram, a wavelength of 1.5418 Å. Input: a structure optimized by DFT (PBE).
Neutral-atom scattering factors, no anomalous dispersion.

Most intense lines, 2θ from 10° to 90°, in order of falling intensity:
two_theta  intensity
27.29  100
33.34  65
25.30  54
47.14  51
30.25  48
54.24  42
48.60  33
53.82  25

Crystal structure
Lattice parameters (Å, degrees): 10.7927 10.7927 10.7927 20.58 20.58 20.58
Fractional coordinates of all 10 atoms:
Pu1 0.0647 0.0647 0.0647
Pu2 0.9353 0.9353 0.9353
Pb1 0.5000 0.5000 0.5000
O1 0.0000 0.0000 0.0000
O2 0.1291 0.1291 0.1291
O3 0.2812 0.2812 0.2812
O4 0.4151 0.4151 0.4151
O5 0.5849 0.5849 0.5849
O6 0.7188 0.7188 0.7188
O7 0.8709 0.8709 0.8709

---

No. 4
# NdY2Cd3
Calculated powder diffractogram, a wavelength of 1.5418 Å. Input: a structure optimized by DFT (PBE).
Neutral-atom scattering factors, no anomalous dispersion.

Most intense lines, 2θ from 10° to 90°, in order of falling intensity:
two_theta  intensity
33.42  100
33.54  50
59.89  36
48.17  18
59.65  17
80.33  15
70.20  10
47.79  9

Crystal structure
Lattice parameters (Å, degrees): 3.7783 3.7783 11.4183 90.00 90.00 90.00
Fractional coordinates of all 6 atoms:
Nd1 0.0000 0.0000 0.0000
Y1 0.0000 0.0000 0.3366
Y2 0.0000 0.0000 0.6634
Cd1 0.5000 0.5000 0.1774
Cd2 0.5000 0.5000 0.5000
Cd3 0.5000 0.5000 0.8226

---

No. 5
# NaCu7P3
Calculated powder diffractogram, a wavelength of 1.5418 Å. Input: a structure optimized by DFT (PBE).
Neutral-atom scattering factors, no anomalous dispersion.

Most intense lines, 2θ from 10° to 90°, in order of falling intensity:
two_theta  intensity
38.23  100
42.22  96
44.47  87
48.19  71
38.92  54
33.77  43
16.70  37
22.80  29

Crystal structure
Lattice parameters (Å, degrees): 7.8467 7.8467 7.8467 54.98 54.98 54.98
Fractional coordinates of all 22 atoms:
Na1 0.0000 0.0000 0.0000
Na2 0.5000 0.5000 0.5000
Cu1 0.0800 0.8517 0.6522
Cu2 0.1483 0.3478 0.9200
Cu3 0.1522 0.3517 0.5800
Cu4 0.2500 0.2500 0.2500
Cu5 0.3478 0.9200 0.1483
Cu6 0.3517 0.5800 0.1522
Cu7 0.4200 0.8478 0.6483
Cu8 0.5800 0.1522 0.3517
Cu9 0.6483 0.4200 0.8478
Cu10 0.6522 0.0800 0.8517
Cu11 0.7500 0.7500 0.7500
Cu12 0.8478 0.6483 0.4200
Cu13 0.8517 0.6522 0.0800
Cu14 0.9200 0.1483 0.3478
P1 0.0818 0.7500 0.4182
P2 0.2500 0.5818 0.9182
P3 0.4182 0.0818 0.7500
P4 0.5818 0.9182 0.2500
P5 0.7500 0.4182 0.0818
P6 0.9182 0.2500 0.5818

---

No. 6
# CoSi3Ru
Calculated powder diffractogram, a wavelength of 1.5418 Å. Input: a structure optimized by DFT (PBE).
Neutral-atom scattering factors, no anomalous dispersion.

Most intense lines, 2θ from 10° to 90°, in order of falling intensity:
two_theta  intensity
29.90  100
42.79  62
62.12  39
53.07  38
36.83  32
86.07  18
70.45  15
78.37  13

Crystal structure
Lattice parameters (Å, degrees): 4.2266 4.2266 4.2266 90.00 90.00 90.00
Fractional coordinates of all 5 atoms:
Co1 0.0000 0.0000 0.0000
Si1 0.0000 0.0000 0.5000
Si2 0.0000 0.5000 0.0000
Si3 0.5000 0.0000 0.0000
Ru1 0.5000 0.5000 0.5000

---

No. 7
# SrUSbO2
Calculated powder diffractogram, a wavelength of 1.5418 Å. Input: a structure optimized by DFT (PBE).
Neutral-atom scattering factors, no anomalous dispersion.

Most intense lines, 2θ from 10° to 90°, in order of falling intensity:
two_theta  intensity
30.19  100
32.40  37
56.42  35
52.19  22
13.02  21
46.47  18
23.69  14
62.78  10

Crystal structure
Lattice parameters (Å, degrees): 7.3407 7.3407 7.3407 149.12 149.12 44.23
Fractional coordinates of all 5 atoms:
Sr1 0.0000 0.0000 0.0000
U1 0.3110 0.3110 0.0000
Sb1 0.6620 0.6620 0.0000
O1 0.3840 0.8840 0.5000
O2 0.8840 0.3840 0.5000

---

No. 8
# UAl2Zn10
Calculated powder diffractogram, a wavelength of 1.5418 Å. Input: a structure optimized by DFT (PBE).
Neutral-atom scattering factors, no anomalous dispersion.

Most intense lines, 2θ from 10° to 90°, in order of falling intensity:
two_theta  intensity
39.66  100
40.30  81
37.42  56
40.54  51
33.91  45
34.64  42
44.79  28
32.93  25

Crystal structure
Lattice parameters (Å, degrees): 6.9110 6.9110 8.9101 90.00 90.00 99.90
Fractional coordinates of all 26 atoms:
U1 0.1358 0.8642 0.7500
U2 0.8642 0.1358 0.2500
Al1 0.0000 0.5000 0.0000
Al2 0.0000 0.5000 0.5000
Al3 0.5000 0.0000 0.0000
Al4 0.5000 0.0000 0.5000
Zn1 0.1459 0.8541 0.1054
Zn2 0.1459 0.8541 0.3946
Zn3 0.1512 0.3929 0.7500
Zn4 0.2190 0.2190 0.0000
Zn5 0.2190 0.2190 0.5000
Zn6 0.2278 0.4787 0.2500
Zn7 0.3850 0.6150 0.5524
Zn8 0.3850 0.6150 0.9476
Zn9 0.3929 0.1512 0.2500
Zn10 0.4787 0.2278 0.7500
Zn11 0.5213 0.7722 0.2500
Zn12 0.6071 0.8488 0.7500
Zn13 0.6150 0.3850 0.0524
Zn14 0.6150 0.3850 0.4476
Zn15 0.7722 0.5213 0.7500
Zn16 0.7810 0.7810 0.0000
Zn17 0.7810 0.7810 0.5000
Zn18 0.8488 0.6071 0.2500
Zn19 0.8541 0.1459 0.6054
Zn20 0.8541 0.1459 0.8946